# 1
# Rb2ErAgCl6
Calculated powder diffractogram, Cu Kα, 1.54184 Å. Input: DFT lattice parameters and positions (PBE).
No peak broadening, texture or thermal motion is included.

Principal peaks in the range 2θ from 10° to 90°, by angle:
- d = 5.367 Å, I 26, (2 0 0)
- d = 3.795 Å, I 100, (2 2 0)
- d = 2.684 Å, I 63, (4 0 0)
- d = 2.191 Å, I 46, (4 2 2)
- d = 1.898 Å, I 43, (4 4 0)
- d = 1.697 Å, I 21, (6 2 0)
- d = 1.549 Å, I 14, (4 4 4)
- d = 1.434 Å, I 24, (6 4 2)
- d = 1.200 Å, I 18, (8 4 0)
- d = 1.096 Å, I 14, (8 4 4)

Cell lengths 10.7341, 10.7341, 10.7341 Å; angles 90.00, 90.00, 90.00 degrees
Space group Fm-3m (No. 225)
Symmetry-distinct sites (fractional):
Rb  0.2500  0.2500  0.2500 [8 per cell]
Er  0.0000  0.0000  0.0000 [4 per cell]
Ag  0.0000  0.0000  0.5000 [4 per cell]
Cl  0.0000  0.0000  0.2434 [24 per cell]



# 2
# NdGe2Rh2
Calculated powder diffractogram, Cu Kα, 1.54184 Å. Input: DFT lattice parameters and positions (PBE).
No peak broadening, texture or thermal motion is included.

Principal peaks in the range 2θ from 10° to 90°, by angle:
- d = 2.695 Å, I 55, (1 0 3)
- d = 2.582 Å, I 100, (1 1 2)
- d = 2.093 Å, I 54, (2 0 0)
- d = 1.971 Å, I 17, (1 1 4)
- d = 1.887 Å, I 20, (1 0 5)
- d = 1.653 Å, I 25, (2 1 3)
- d = 1.514 Å, I 18, (1 1 6)
- d = 1.480 Å, I 18, (2 2 0)
- d = 1.401 Å, I 15, (2 1 5)
- d = 1.284 Å, I 22, (3 1 2)

Cell lengths 4.1853, 4.1853, 10.5676 Å; angles 90.00, 90.00, 90.00 degrees
Space group I4/mmm (No. 139)
Symmetry-distinct sites (fractional):
Nd  0.0000  0.0000  0.0000 [2 per cell]
Ge  0.0000  0.0000  0.3759 [4 per cell]
Rh  0.0000  0.5000  0.2500 [4 per cell]



# 3
# CaTiO3
Calculated powder diffractogram, Cu Kα, 1.54184 Å. Input: DFT lattice parameters and positions (PBE).
No peak broadening, texture or thermal motion is included.

Principal peaks in the range 2θ from 10° to 90°, by angle:
- d = 3.855 Å, I 14, (1 0 1)
- d = 2.754 Å, I 25, (2 0 0)
- d = 2.724 Å, I 100, (1 2 1)
- d = 2.704 Å, I 23, (0 0 2)
- d = 1.929 Å, I 44, (2 0 2)
- d = 1.924 Å, I 24, (0 4 0)
- d = 1.584 Å, I 15, (3 2 1)
- d = 1.577 Å, I 11, (2 4 0)
- d = 1.566 Å, I 37, (1 2 3)
- d = 1.362 Å, I 19, (2 4 2)

Cell lengths 5.5074, 7.6940, 5.4078 Å; angles 90.00, 90.00, 90.00 degrees
Space group Pnma (No. 62)
Symmetry-distinct sites (fractional):
Ca  0.0429  0.2500  0.0091 [4 per cell]
Ti  0.0000  0.0000  0.5000 [4 per cell]
O  0.0198  0.7500  0.4219 [4 per cell]
O  0.2100  0.5410  0.7906 [8 per cell]